1.
# DyMg2Ga4
Calculated X-ray powder pattern, Cu Kα, 1.54184 Å. Input: a crystal structure in Alexandria, relaxed with PBE.
Lines closer than 0.1° are merged.

Main lines, in order of falling intensity (2θ from 15° to 90°):
d 2.753, rel. 100
d 2.537, rel. 94
d 2.457, rel. 88
d 2.067, rel. 66
d 2.118, rel. 46
d 2.687, rel. 45
d 2.645, rel. 41
d 2.873, rel. 40
d 2.049, rel. 38
d 3.157, rel. 35

Structure:
```
DyMg2Ga4
1.0
8.242 -2.924 0.000
8.242 2.924 0.000
-0.767 0.000 5.846
Dy Mg Ga
2 4 8
direct
0.229 0.771 0.750 Dy
0.771 0.229 0.250 Dy
0.231 0.380 0.847 Mg
0.380 0.231 0.347 Mg
0.620 0.769 0.653 Mg
0.769 0.620 0.153 Mg
0.112 0.207 0.527 Ga
0.203 0.645 0.210 Ga
0.207 0.112 0.027 Ga
0.355 0.797 0.290 Ga
0.645 0.203 0.710 Ga
0.793 0.888 0.973 Ga
0.797 0.355 0.790 Ga
0.888 0.793 0.473 Ga
```

---

2.
# Dy2MgGa12
Calculated X-ray powder pattern, Cu Kα, 1.54184 Å. Input: a crystal structure in Alexandria, relaxed with PBE.
Lines closer than 0.1° are merged.

Main lines, in order of falling intensity (2θ from 15° to 90°):
d 2.771, rel. 100
d 2.065, rel. 70
d 2.139, rel. 62
d 2.612, rel. 53
d 2.429, rel. 52
d 2.671, rel. 31
d 3.004, rel. 30
d 2.384, rel. 25
d 1.486, rel. 24
d 1.634, rel. 22

Structure:
```
Dy2MgGa12
1.0
5.842 0.000 0.000
0.000 5.842 0.000
0.000 0.000 17.504
Dy Mg Ga
4 2 24
direct
0.250 0.750 0.220 Dy
0.250 0.750 0.780 Dy
0.750 0.250 0.220 Dy
0.750 0.250 0.780 Dy
0.250 0.750 0.500 Mg
0.750 0.250 0.500 Mg
0.001 0.501 0.383 Ga
0.001 0.999 0.617 Ga
0.074 0.574 0.936 Ga
0.074 0.926 0.064 Ga
0.250 0.250 0.148 Ga
0.250 0.250 0.289 Ga
0.250 0.250 0.711 Ga
0.250 0.250 0.852 Ga
0.426 0.574 0.064 Ga
0.426 0.926 0.936 Ga
0.499 0.501 0.617 Ga
0.499 0.999 0.383 Ga
0.501 0.001 0.617 Ga
0.501 0.499 0.383 Ga
0.574 0.074 0.064 Ga
0.574 0.426 0.936 Ga
0.750 0.750 0.148 Ga
0.750 0.750 0.289 Ga
0.750 0.750 0.711 Ga
0.750 0.750 0.852 Ga
0.926 0.074 0.936 Ga
0.926 0.426 0.064 Ga
0.999 0.001 0.383 Ga
0.999 0.499 0.617 Ga
```

---

3.
# DyMg2Ga2
Calculated X-ray powder pattern, Cu Kα, 1.54184 Å. Input: a crystal structure in Alexandria, relaxed with PBE.
Lines closer than 0.1° are merged.

Main lines, in order of falling intensity (2θ from 15° to 90°):
d 2.683, rel. 100
d 2.913, rel. 83
d 2.649, rel. 51
d 2.254, rel. 40
d 2.144, rel. 29
d 2.105, rel. 28
d 1.667, rel. 25
d 1.539, rel. 24
d 1.935, rel. 22
d 3.157, rel. 19

Structure:
```
DyMg2Ga2
1.0
-2.105 2.144 11.926
2.105 -2.144 11.926
2.105 2.144 -11.926
Dy Mg Ga
2 4 4
direct
0.326 0.076 0.250 Dy
0.674 0.924 0.750 Dy
0.050 0.800 0.250 Mg
0.450 0.700 0.750 Mg
0.550 0.300 0.250 Mg
0.950 0.200 0.750 Mg
0.123 0.373 0.750 Ga
0.225 0.475 0.750 Ga
0.775 0.525 0.250 Ga
0.877 0.627 0.250 Ga
```

---

4.
# DyMgSc2Ga4
Calculated X-ray powder pattern, Cu Kα, 1.54184 Å. Input: a crystal structure in Alexandria, relaxed with PBE.
Lines closer than 0.1° are merged.

Main lines, in order of falling intensity (2θ from 15° to 90°):
d 2.445, rel. 100
d 2.392, rel. 96
d 1.710, rel. 33
d 1.391, rel. 32
d 4.084, rel. 22
d 1.423, rel. 16
d 3.149, rel. 16
d 1.381, rel. 16
d 3.920, rel. 11
d 1.196, rel. 10

Structure:
```
DyMgSc2Ga4
1.0
2.392 1.381 8.079
-2.392 1.381 8.079
0.000 -2.762 8.079
Dy Mg Sc Ga
1 1 2 4
direct
0.000 0.000 0.000 Dy
0.500 0.500 0.500 Mg
0.244 0.244 0.244 Sc
0.756 0.756 0.756 Sc
0.125 0.125 0.125 Ga
0.378 0.378 0.378 Ga
0.622 0.622 0.622 Ga
0.875 0.875 0.875 Ga
```

---

5.
# DyMgGaSe4
Calculated X-ray powder pattern, Cu Kα, 1.54184 Å. Input: a crystal structure in Alexandria, relaxed with PBE.
Lines closer than 0.1° are merged.

Main lines, in order of falling intensity (2θ from 15° to 90°):
d 2.822, rel. 100
d 1.996, rel. 87
d 3.395, rel. 52
d 3.409, rel. 38
d 2.176, rel. 31
d 3.999, rel. 28
d 2.001, rel. 22
d 1.154, rel. 22
d 1.987, rel. 21
d 1.264, rel. 16

Structure:
```
DyMgGaSe4
1.0
-3.974 4.002 5.653
3.974 -4.002 5.653
3.974 4.002 -5.653
Dy Mg Ga Se
2 2 2 8
direct
0.500 0.000 0.000 Dy
0.500 0.500 0.500 Dy
0.000 0.000 0.000 Mg
0.500 0.000 0.500 Mg
0.132 0.382 0.750 Ga
0.868 0.618 0.250 Ga
0.243 0.247 0.997 Se
0.248 0.235 0.487 Se
0.248 0.762 0.013 Se
0.250 0.753 0.497 Se
0.750 0.247 0.503 Se
0.752 0.238 0.987 Se
0.752 0.765 0.513 Se
0.757 0.753 0.003 Se
```

---

6.
# DyMgZn2Ga2
Calculated X-ray powder pattern, Cu Kα, 1.54184 Å. Input: a crystal structure in Alexandria, relaxed with PBE.
Lines closer than 0.1° are merged.

Main lines, in order of falling intensity (2θ from 15° to 90°):
d 2.534, rel. 100
d 2.184, rel. 68
d 3.309, rel. 39
d 1.655, rel. 27
d 1.345, rel. 25
d 1.319, rel. 25
d 1.261, rel. 11
d 1.706, rel. 9
d 1.576, rel. 8
d 1.823, rel. 7

Structure:
```
DyMgZn2Ga2
1.0
4.369 0.000 0.000
-2.184 3.783 0.000
0.000 0.000 6.825
Dy Mg Zn Ga
1 1 2 2
direct
0.000 0.000 0.000 Dy
0.000 0.000 0.500 Mg
0.333 0.667 0.729 Zn
0.667 0.333 0.271 Zn
0.333 0.667 0.252 Ga
0.667 0.333 0.748 Ga
```